Structure and simulated powder diffractogram of BeRe4As (a crystal structure in Alexandria, relaxed with PBE; copper Kα).
Peak positions follow from Bragg's law for the DFT cell and can differ from measured ones.

Most intense lines, 2θ from 10° to 90°, by angle:
21.0 deg, I 95
40.8 deg, I 100
42.6 deg, I 87
49.7 deg, I 33
54.5 deg, I 23
66.1 deg, I 32
72.9 deg, I 33
76.8 deg, I 17
87.0 deg, I 12
88.3 deg, I 35

Structural model:
Lattice parameters (Å, degrees): 5.1927 5.1927 5.1927 60.00 60.00 60.00
Fractional positions:
Be  0.0000  0.0000  0.0000
Re  0.3752  0.3752  0.3752
Re  0.3752  0.3752  0.8745
Re  0.3752  0.8745  0.3752
Re  0.8745  0.3752  0.3752
As  0.7500  0.7500  0.7500

=====

Structure and simulated powder diffractogram of BeAs3Rh (a crystal structure in Alexandria, relaxed with PBE; copper Kα).
Peak positions follow from Bragg's law for the DFT cell and can differ from measured ones.

Most intense lines, 2θ from 10° to 90°, by angle:
20.2 deg, I 1
28.7 deg, I 3
35.4 deg, I 100
41.1 deg, I 53
46.2 deg, I 1
50.9 deg, I 1
59.5 deg, I 35
71.2 deg, I 38
74.9 deg, I 12
89.2 deg, I 6

Structural model:
Lattice parameters (Å, degrees): 4.3914 4.3914 4.3914 90.00 90.00 90.00
Fractional positions:
Be  0.0000  0.0000  0.0000
As  0.0000  0.0000  0.5000
As  0.0000  0.5000  0.0000
As  0.5000  0.0000  0.0000
Rh  0.5000  0.5000  0.5000

=====

Structure and simulated powder diffractogram of Be5AsRh6 (a crystal structure in Alexandria, relaxed with PBE; copper Kα).
Peak positions follow from Bragg's law for the DFT cell and can differ from measured ones.

Most intense lines, 2θ from 10° to 90°, by angle:
14.7 deg, I 2
21.5 deg, I 2
28.2 deg, I 2
31.5 deg, I 69
35.4 deg, I 2
45.2 deg, I 100
56.2 deg, I 18
65.9 deg, I 16
74.9 deg, I 22
83.5 deg, I 33

Structural model:
Lattice parameters (Å, degrees): 6.3416 6.3416 5.6760 90.00 90.00 143.16
Fractional positions:
Be  0.0000  0.0000  0.0000
Be  0.3223  0.6777  0.5000
Be  0.3343  0.6657  0.0000
Be  0.6657  0.3343  0.0000
Be  0.6777  0.3223  0.5000
As  0.0000  0.0000  0.5000
Rh  0.1676  0.8324  0.2462
Rh  0.1676  0.8324  0.7538
Rh  0.5000  0.5000  0.2450
Rh  0.5000  0.5000  0.7550
Rh  0.8324  0.1676  0.2462
Rh  0.8324  0.1676  0.7538

=====

Structure and simulated powder diffractogram of BeSbAs2Rh (a crystal structure in Alexandria, relaxed with PBE; copper Kα).
Peak positions follow from Bragg's law for the DFT cell and can differ from measured ones.

Most intense lines, 2θ from 10° to 90°, by angle:
15.5 deg, I 31
19.3 deg, I 100
31.2 deg, I 47
31.6 deg, I 37
36.9 deg, I 38
39.1 deg, I 50
44.0 deg, I 23
50.9 deg, I 46
54.9 deg, I 24
66.0 deg, I 21

Structural model:
Lattice parameters (Å, degrees): 4.6047 4.6047 5.7327 90.00 90.00 90.00
Fractional positions:
Be  0.0000  0.0000  0.0000
Sb  0.5000  0.5000  0.0000
As  0.0000  0.5000  0.5000
As  0.5000  0.0000  0.5000
Rh  0.5000  0.5000  0.5000

=====

Structure and simulated powder diffractogram of ScBe2As (a crystal structure in Alexandria, relaxed with PBE; copper Kα).
Peak positions follow from Bragg's law for the DFT cell and can differ from measured ones.

Most intense lines, 2θ from 10° to 90°, by angle:
18.6 deg, I 100
34.1 deg, I 33
35.0 deg, I 20
37.6 deg, I 28
39.1 deg, I 30
39.9 deg, I 42
51.6 deg, I 19
52.3 deg, I 12
52.4 deg, I 18
54.4 deg, I 16

Structural model:
Lattice parameters (Å, degrees): 5.4265 5.4265 3.6034 108.83 108.83 123.58
Fractional positions:
Sc  0.0000  0.0000  0.0000
Be  0.0000  0.5000  0.0000
Be  0.5000  0.0000  0.0000
As  0.5000  0.5000  0.0000

=====

Structure and simulated powder diffractogram of BeSn3As (a crystal structure in Alexandria, relaxed with PBE; copper Kα).
Peak positions follow from Bragg's law for the DFT cell and can differ from measured ones.

Most intense lines, 2θ from 10° to 90°, by angle:
18.0 deg, I 4
31.5 deg, I 100
36.6 deg, I 54
41.1 deg, I 2
52.7 deg, I 38
62.7 deg, I 44
65.8 deg, I 13
77.7 deg, I 6
86.2 deg, I 19
89.1 deg, I 19

Structural model:
Lattice parameters (Å, degrees): 4.9159 4.9159 4.9159 90.00 90.00 90.00
Fractional positions:
Be  0.0000  0.0000  0.0000
Sn  0.0000  0.0000  0.5000
Sn  0.0000  0.5000  0.0000
Sn  0.5000  0.0000  0.0000
As  0.5000  0.5000  0.5000

=====

Structure and simulated powder diffractogram of Sr3BeAs3 (a crystal structure in Alexandria, relaxed with PBE; copper Kα).
Peak positions follow from Bragg's law for the DFT cell and can differ from measured ones.

Most intense lines, 2θ from 10° to 90°, by angle:
27.8 deg, I 69
28.2 deg, I 92
28.4 deg, I 100
30.3 deg, I 29
34.6 deg, I 22
40.0 deg, I 48
40.2 deg, I 66
40.5 deg, I 70
49.8 deg, I 50
58.8 deg, I 22

Structural model:
Lattice parameters (Å, degrees): 9.9452 9.9452 12.6493 90.00 90.00 37.67
Fractional positions:
Sr  0.0297  0.6267  0.1298
Sr  0.1267  0.5297  0.6298
Sr  0.1918  0.8082  0.8542
Sr  0.3082  0.6918  0.3542
Sr  0.3733  0.9703  0.1298
Sr  0.4703  0.8733  0.6298
Sr  0.5297  0.1267  0.3702
Sr  0.6267  0.0297  0.8702
Sr  0.6918  0.3082  0.6458
Sr  0.8082  0.1918  0.1458
Sr  0.8733  0.4703  0.3702
Sr  0.9703  0.3733  0.8702
Be  0.0812  0.0812  0.5000
Be  0.4188  0.4188  0.0000
Be  0.5812  0.5812  0.0000
Be  0.9188  0.9188  0.5000
As  0.0382  0.6459  0.3857
As  0.1459  0.5382  0.8857
As  0.1997  0.8003  0.6002
As  0.3003  0.6997  0.1002
As  0.3541  0.9618  0.3857
As  0.4618  0.8541  0.8857
As  0.5382  0.1459  0.1143
As  0.6459  0.0382  0.6143
As  0.6997  0.3003  0.8998
As  0.8003  0.1997  0.3998
As  0.8541  0.4618  0.1143
As  0.9618  0.3541  0.6143

=====

Structure and simulated powder diffractogram of SrBe6As4 (a crystal structure in Alexandria, relaxed with PBE; copper Kα).
Peak positions follow from Bragg's law for the DFT cell and can differ from measured ones.

Most intense lines, 2θ from 10° to 90°, by angle:
29.4 deg, I 81
31.5 deg, I 100
33.9 deg, I 33
34.0 deg, I 85
48.5 deg, I 19
48.7 deg, I 19
51.7 deg, I 33
57.7 deg, I 23
59.2 deg, I 32
71.2 deg, I 12

Structural model:
Lattice parameters (Å, degrees): 13.2082 13.2082 3.7521 90.00 90.00 163.74
Fractional positions:
Sr  0.0000  0.0000  0.0000
Be  0.1228  0.8772  0.5000
Be  0.2233  0.7767  0.5000
Be  0.3748  0.6252  0.0000
Be  0.6252  0.3748  0.0000
Be  0.7767  0.2233  0.5000
Be  0.8772  0.1228  0.5000
As  0.1770  0.8230  0.0000
As  0.4276  0.5724  0.5000
As  0.5724  0.4276  0.5000
As  0.8230  0.1770  0.0000